Calculated powder XRD pattern
Compound: Pr2Mg3Tl
Radiation: Cu Kα (weighted mean of Kα1 and Kα2)
Structure: the GGA-PBE geometry in Alexandria

Principal peaks in the range 15° ≤ 2θ ≤ 90°, sorted by position:
| d [Å] | Position (°2θ) | Rel. int. |
| --- | --- | --- |
| 5.562 | 15.94 | 14 |
| 5.221 | 16.98 | 13 |
| 4.515 | 19.66 | 20 |
| 4.191 | 21.20 | 32 |
| 2.780 | 32.20 | 100 |
| 2.770 | 32.32 | 12 |
| 2.606 | 34.41 | 74 |
| 1.901 | 47.84 | 37 |
| 1.537 | 60.21 | 22 |
| 1.461 | 63.70 | 25 |

```
12
Lattice="0.000 5.221 9.015 3.528 0.000 9.015 3.528 5.221 0.000" Properties=species:S:1:pos:R:3 pbc="T T T"
Pr 5.317 5.221 9.015
Pr 1.764 2.611 4.507
Pr 5.292 7.832 13.522
Pr 1.739 5.221 9.015
Mg 3.528 5.221 3.009
Mg 3.528 2.639 7.517
Mg 3.528 2.639 10.513
Mg 3.528 7.803 7.517
Mg 3.528 7.803 10.513
Mg 3.528 5.221 15.021
Tl 3.528 5.221 6.019
Tl 3.528 5.221 12.011
```

=====

Calculated powder XRD pattern
Compound: Li2DyAlS4
Radiation: Cu Kα (weighted mean of Kα1 and Kα2)
Structure: the GGA-PBE geometry in Alexandria

Principal peaks in the range 15° ≤ 2θ ≤ 90°, sorted by position:
| d [Å] | Position (°2θ) | Rel. int. |
| --- | --- | --- |
| 5.268 | 16.83 | 30 |
| 3.841 | 23.16 | 13 |
| 3.633 | 24.50 | 13 |
| 3.232 | 27.60 | 53 |
| 3.162 | 28.22 | 26 |
| 2.638 | 33.99 | 100 |
| 2.441 | 36.82 | 28 |
| 2.360 | 38.13 | 30 |
| 2.011 | 45.08 | 12 |
| 1.864 | 48.85 | 45 |

```
16
Lattice="-3.633 3.841 5.268 3.633 -3.841 5.268 3.633 3.841 -5.268" Properties=species:S:1:pos:R:3 pbc="T T T"
Li 0.000 0.000 0.000
Li -1.816 1.921 2.634
Li 0.000 3.841 0.000
Li 1.816 1.921 2.634
Dy 3.633 0.000 0.000
Dy 0.000 0.000 5.268
Al 1.816 1.921 -2.634
Al 1.816 -1.921 2.634
S 3.633 3.605 -2.699
S 3.633 -0.237 2.699
S 1.752 1.921 -0.084
S 1.881 -1.921 5.184
S 1.752 5.762 0.084
S 1.881 1.921 5.352
S 0.000 4.078 2.568
S 0.000 0.237 7.967
```